# GeSbPd6
Computed PXRD pattern, CuKα. Input: a crystal structure in Alexandria, relaxed with PBE.
Intensities are scaled so that the largest is 100.

Structural model:
```
GeSbPd6
1.0
4.0086 0.0000 0.0000
0.0000 4.0086 0.0000
0.0000 0.0000 7.9232
Ge Sb Pd
1 1 6
direct
0.0000 0.0000 0.0000 Ge
0.0000 0.0000 0.5000 Sb
0.0000 0.5000 0.2415 Pd
0.0000 0.5000 0.7585 Pd
0.5000 0.0000 0.2415 Pd
0.5000 0.0000 0.7585 Pd
0.5000 0.5000 0.0000 Pd
0.5000 0.5000 0.5000 Pd
```

Principal peaks in the range 5° ≤ 2θ ≤ 70°, sorted by position:
33.58°, I = 1, hkl 1 1 1; 39.08°, I = 100, hkl 1 1 2; 45.24°, I = 33, hkl 2 0 0; 45.81°, I = 16, hkl 0 0 4; 65.91°, I = 10, hkl 2 2 0; 66.35°, I = 20, hkl 2 0 4